1.
Computed X-ray powder pattern
Compound: Cs2Cd5Hg12
Radiation: copper Kα
Structure: a crystal structure in Alexandria, relaxed with PBE

Cell and atoms:
a b c (Å): 8.3617 8.3617 8.3617
angles (deg): 80.72 80.72 80.72
Positions (direct):
Cs  0.1552  0.1552  0.1552
Cs  0.8448  0.8448  0.8448
Cd  0.0000  0.5000  0.5000
Cd  0.4037  0.4037  0.4037
Cd  0.5000  0.0000  0.5000
Cd  0.5000  0.5000  0.0000
Cd  0.5963  0.5963  0.5963
Hg  0.1487  0.1487  0.6379
Hg  0.1487  0.6379  0.1487
Hg  0.2096  0.5000  0.7904
Hg  0.2096  0.7904  0.5000
Hg  0.3621  0.8513  0.8513
Hg  0.5000  0.2096  0.7904
Hg  0.5000  0.7904  0.2096
Hg  0.6379  0.1487  0.1487
Hg  0.7904  0.2096  0.5000
Hg  0.7904  0.5000  0.2096
Hg  0.8513  0.3621  0.8513
Hg  0.8513  0.8513  0.3621

Top 6 peaks for 2θ from 10° to 90°, sorted by position:
| 2θ (°) | I/Imax |
| --- | --- |
| 16.37 | 31.1 |
| 28.67 | 49.2 |
| 32.25 | 37.9 |
| 32.88 | 100.0 |
| 33.09 | 43.6 |
| 36.94 | 85.7 |


2.
Computed X-ray powder pattern
Compound: CsCa2In2
Radiation: copper Kα
Structure: a crystal structure in Alexandria, relaxed with PBE

Cell and atoms:
a b c (Å): 9.7320 9.7320 3.7208
angles (deg): 90.00 90.00 90.00
Positions (direct):
Cs  0.0000  0.0000  0.0000
Cs  0.5000  0.5000  0.0000
Ca  0.1410  0.3590  0.0000
Ca  0.3590  0.8590  0.0000
Ca  0.6410  0.1410  0.0000
Ca  0.8590  0.6410  0.0000
In  0.1494  0.6494  0.5000
In  0.3506  0.1494  0.5000
In  0.6494  0.8506  0.5000
In  0.8506  0.3506  0.5000

Top 6 peaks for 2θ from 10° to 90°, sorted by position:
| 2θ (°) | I/Imax |
| --- | --- |
| 20.41 | 31.9 |
| 27.25 | 38.5 |
| 29.01 | 99.9 |
| 30.24 | 31.6 |
| 31.64 | 100.0 |
| 56.62 | 27.3 |


3.
Computed X-ray powder pattern
Compound: Mn3Se2S4
Radiation: copper Kα
Structure: a crystal structure in Alexandria, relaxed with PBE

Cell and atoms:
a b c (Å): 3.1400 3.1400 19.9895
angles (deg): 90.00 90.00 120.00
Positions (direct):
Mn  0.0000  0.0000  0.0000
Mn  0.3333  0.6667  0.3275
Mn  0.3333  0.6667  0.6725
Se  0.3333  0.6667  0.0783
Se  0.3333  0.6667  0.9217
S  0.0000  0.0000  0.2573
S  0.0000  0.0000  0.3975
S  0.0000  0.0000  0.6025
S  0.0000  0.0000  0.7427

Top 6 peaks for 2θ from 10° to 90°, sorted by position:
| 2θ (°) | I/Imax |
| --- | --- |
| 13.29 | 100.0 |
| 32.94 | 38.6 |
| 40.10 | 53.6 |
| 46.09 | 28.6 |
| 49.54 | 33.9 |
| 58.82 | 23.8 |


4.
Computed X-ray powder pattern
Compound: Rb2MoBr5
Radiation: copper Kα
Structure: a crystal structure in Alexandria, relaxed with PBE

Cell and atoms:
a b c (Å): 9.4096 9.4096 9.9789
angles (deg): 118.33 118.33 51.61
Positions (direct):
Rb  0.0136  0.9864  0.5000
Rb  0.6521  0.6949  0.5356
Rb  0.6949  0.6521  0.0356
Rb  0.9864  0.0136  0.0000
Mo  0.3360  0.3396  0.5202
Mo  0.3396  0.3360  0.0202
Br  0.0751  0.2530  0.8898
Br  0.1056  0.6782  0.1432
Br  0.2148  0.4609  0.7706
Br  0.2530  0.0751  0.3898
Br  0.4167  0.6054  0.6497
Br  0.4609  0.2148  0.2706
Br  0.5747  0.9934  0.8985
Br  0.6054  0.4167  0.1497
Br  0.6782  0.1056  0.6432
Br  0.9934  0.5747  0.3985

Top 6 peaks for 2θ from 10° to 90°, sorted by position:
| 2θ (°) | I/Imax |
| --- | --- |
| 21.45 | 50.5 |
| 24.13 | 63.4 |
| 29.07 | 100.0 |
| 36.09 | 54.6 |
| 37.88 | 98.2 |
| 38.33 | 50.2 |


5.
Computed X-ray powder pattern
Compound: Th6NiRu2Se3
Radiation: copper Kα
Structure: a crystal structure in Alexandria, relaxed with PBE

Cell and atoms:
a b c (Å): 7.0731 7.0731 7.7246
angles (deg): 98.83 98.83 119.93
Positions (direct):
Th  0.0938  0.4290  0.7859
Th  0.2364  0.2364  0.2152
Th  0.4290  0.0938  0.7859
Th  0.5710  0.9062  0.2141
Th  0.7636  0.7636  0.7848
Th  0.9062  0.5710  0.2141
Ni  0.5000  0.5000  0.0000
Ru  0.1667  0.8333  0.0000
Ru  0.8333  0.1667  0.0000
Se  0.0000  0.0000  0.5000
Se  0.3328  0.6672  0.5000
Se  0.6672  0.3328  0.5000

Top 6 peaks for 2θ from 10° to 90°, sorted by position:
| 2θ (°) | I/Imax |
| --- | --- |
| 26.46 | 27.4 |
| 30.01 | 100.0 |
| 41.52 | 34.2 |
| 44.35 | 37.1 |
| 54.48 | 19.1 |
| 72.74 | 10.8 |


6.
Computed X-ray powder pattern
Compound: Na2PaPbI8
Radiation: copper Kα
Structure: a crystal structure in Alexandria, relaxed with PBE

Cell and atoms:
a b c (Å): 7.4182 9.4241 7.8531
angles (deg): 90.00 94.46 90.00
Positions (direct):
Na  0.0000  0.2398  0.0000
Na  0.0000  0.7602  0.0000
Pa  0.5000  0.5000  0.5000
Pb  0.5000  0.0000  0.5000
I  0.2411  0.0000  0.1586
I  0.2453  0.5000  0.1768
I  0.2724  0.2689  0.6508
I  0.2724  0.7311  0.6508
I  0.7276  0.2689  0.3492
I  0.7276  0.7311  0.3492
I  0.7547  0.5000  0.8232
I  0.7589  0.0000  0.8414

Top 6 peaks for 2θ from 10° to 90°, sorted by position:
| 2θ (°) | I/Imax |
| --- | --- |
| 11.30 | 36.5 |
| 11.97 | 33.0 |
| 24.70 | 100.0 |
| 26.58 | 48.0 |
| 32.16 | 42.0 |
| 39.47 | 43.3 |


7.
Computed X-ray powder pattern
Compound: Na4Hg3Pd2
Radiation: copper Kα
Structure: a crystal structure in Alexandria, relaxed with PBE

Cell and atoms:
a b c (Å): 7.9619 7.9619 6.3427
angles (deg): 98.53 98.53 33.27
Positions (direct):
Na  0.0825  0.0825  0.3707
Na  0.2847  0.2847  0.8109
Na  0.7153  0.7153  0.1891
Na  0.9175  0.9175  0.6293
Hg  0.3589  0.3589  0.3136
Hg  0.5000  0.5000  0.0000
Hg  0.6411  0.6411  0.6864
Pd  0.0918  0.0918  0.9037
Pd  0.9082  0.9082  0.0963

Top 6 peaks for 2θ from 10° to 90°, sorted by position:
| 2θ (°) | I/Imax |
| --- | --- |
| 19.78 | 100.0 |
| 31.38 | 30.9 |
| 36.75 | 56.1 |
| 37.06 | 61.2 |
| 39.53 | 30.6 |
| 46.64 | 28.8 |